The following is a calculated powder XRD pattern of MgTi8S16. It was derived from the PBE geometry in the Materials Project, using Cu Kα.

Structure:
```
data_MgTi8S16
_cell_length_a 9.9054
_cell_length_b 14.0097
_cell_length_c 7.0157
_cell_angle_alpha 90.00
_cell_angle_beta 90.00
_cell_angle_gamma 90.00
_symmetry_space_group_name_H-M 'P n n m'
_symmetry_Int_Tables_number 58
_symmetry_space_group_name_Hall '-P 2 2n'
loop_
_atom_site_label
_atom_site_fract_x
_atom_site_fract_y
_atom_site_fract_z
Mg1 0.0000 0.0000 0.0000
Ti1 0.0000 0.0000 0.5000
Ti2 0.0000 0.5000 0.5000
Ti3 0.0055 0.2567 0.5000
Ti4 0.2455 0.3724 0.2421
S1 0.0018 0.3759 0.2561
S2 0.0038 0.8738 0.2571
S3 0.2460 0.2538 0.5000
S4 0.2455 0.4963 0.5000
S5 0.2460 0.7521 0.5000
S6 0.2472 0.9961 0.5000
```

Largest 10 diffraction maxima, by angle, 5° ≤ 2θ ≤ 70°:
2theta  I/Imax
15.49  54.3
29.90  23.6
31.26  3.9
36.25  100.0
39.64  7.9
47.68  10.1
52.21  62.0
54.79  9.1
61.33  2.4
65.22  19.9